For Ac3TlIrPd, a cell relaxed with PBE gives the simulated powder XRD pattern in this record (λ = 1.5418 Å (Cu Kα)).

Crystal structure
Lattice parameters (Å, degrees): 8.926 4.403 11.104 90.00 110.91 90.00
Positions (direct):
Ac1 0.084 0.250 0.388
Ac2 0.190 0.250 0.945
Ac3 0.410 0.750 0.724
Ac4 0.590 0.250 0.276
Ac5 0.810 0.750 0.055
Ac6 0.916 0.750 0.612
Tl1 0.251 0.750 0.218
Tl2 0.749 0.250 0.782
Ir1 0.168 0.250 0.672
Ir2 0.832 0.750 0.328
Pd1 0.447 0.750 0.055
Pd2 0.553 0.250 0.945

Largest 6 diffraction maxima, in order of falling intensity, 2θ = 10–90°:
2theta	intensity
29.51	100
32.27	69
41.00	66
28.49	49
37.56	46
10.99	44

For Ac2PmIr, a cell relaxed with PBE gives the simulated powder XRD pattern in this record (λ = 1.5418 Å (Cu Kα)).

Crystal structure
Lattice parameters (Å, degrees): 7.242 6.801 12.279 90.00 90.00 90.00
Positions (direct):
Ac1 0.086 0.245 0.083
Ac2 0.086 0.255 0.417
Ac3 0.414 0.745 0.417
Ac4 0.414 0.755 0.083
Ac5 0.586 0.245 0.917
Ac6 0.586 0.255 0.583
Ac7 0.914 0.745 0.583
Ac8 0.914 0.755 0.917
Pm1 0.082 0.250 0.750
Pm2 0.418 0.750 0.750
Pm3 0.582 0.250 0.250
Pm4 0.918 0.750 0.250
Ir1 0.250 0.000 0.906
Ir2 0.250 0.500 0.594
Ir3 0.750 0.000 0.094
Ir4 0.750 0.500 0.406

Largest 6 diffraction maxima, in order of falling intensity, 2θ = 10–90°:
2theta	intensity
28.28	100
27.92	54
36.53	47
43.53	37
14.89	25
47.54	25

For AcPm8Ir6, a cell relaxed with PBE gives the simulated powder XRD pattern in this record (λ = 1.5418 Å (Cu Kα)).

Crystal structure
Lattice parameters (Å, degrees): 7.925 7.925 7.925 65.35 65.35 65.35
Positions (direct):
Ac1 0.000 0.000 0.000
Pm1 0.107 0.774 0.456
Pm2 0.226 0.544 0.893
Pm3 0.336 0.336 0.336
Pm4 0.456 0.107 0.774
Pm5 0.544 0.893 0.226
Pm6 0.664 0.664 0.664
Pm7 0.774 0.456 0.107
Pm8 0.893 0.226 0.544
Ir1 0.060 0.395 0.722
Ir2 0.278 0.940 0.605
Ir3 0.395 0.722 0.060
Ir4 0.605 0.278 0.940
Ir5 0.722 0.060 0.395
Ir6 0.940 0.605 0.278

Largest 6 diffraction maxima, in order of falling intensity, 2θ = 10–90°:
2theta	intensity
35.78	100
36.37	94
65.07	35
51.95	35
25.30	22
63.91	19

For AcPm4Ir2, a cell relaxed with PBE gives the simulated powder XRD pattern in this record (λ = 1.5418 Å (Cu Kα)).

Crystal structure
Lattice parameters (Å, degrees): 9.845 9.845 9.845 132.15 64.01 140.11
Positions (direct):
Ac1 0.112 0.250 0.362
Ac2 0.888 0.750 0.638
Pm1 0.091 0.729 0.861
Pm2 0.356 0.037 0.315
Pm3 0.356 0.542 0.819
Pm4 0.487 0.741 0.246
Pm5 0.494 0.241 0.754
Pm6 0.722 0.042 0.685
Pm7 0.722 0.537 0.181
Pm8 0.868 0.229 0.139
Ir1 0.032 0.521 0.010
Ir2 0.511 0.021 0.990
Ir3 0.779 0.279 0.500
Ir4 0.779 0.779 0.000

Largest 6 diffraction maxima, in order of falling intensity, 2θ = 10–90°:
2theta	intensity
30.60	100
36.58	88
29.88	69
26.52	48
14.21	34
34.27	31